Simulated powder X-ray diffraction pattern
Compound: K2SrInF8
Radiation: Cu Ka
Structure: a structure optimized by DFT (GGA-PBE)
Neutral-atom scattering factors, no anomalous dispersion.

Structural model:
Lattice parameters (Å, degrees): 3.9742 6.3528 7.9503 90.00 89.76 89.55
Positions (direct):
K (0.9999, 0.0000, 0.2437)
K (0.0001, 0.0000, 0.7563)
Sr (0.5000, 0.5000, 0.5000)
In (0.5000, 0.5000, 0.0000)
F (0.0023, 0.2683, 0.5000)
F (0.0055, 0.6948, 0.0000)
F (0.4960, 0.2925, 0.2156)
F (0.4958, 0.2925, 0.7845)
F (0.5042, 0.7075, 0.2155)
F (0.5040, 0.7075, 0.7844)
F (0.9945, 0.3052, 0.0000)
F (0.9977, 0.7317, 0.5000)

Largest 12 diffraction maxima, by angle, 5 to 70 degrees two-theta:
2θ = 13.94°, intensity 46; 2θ = 22.37°, intensity 19; 2θ = 26.42°, intensity 100; 2θ = 26.55°, intensity 34; 2θ = 42.79°, intensity 18; 2θ = 42.90°, intensity 18; 2θ = 43.04°, intensity 18; 2θ = 43.15°, intensity 17; 2θ = 45.65°, intensity 31; 2θ = 48.72°, intensity 12; 2θ = 53.36°, intensity 9; 2θ = 53.53°, intensity 17

=====

Simulated powder X-ray diffraction pattern
Compound: KTiInF6
Radiation: Cu Ka
Structure: a structure optimized by DFT (GGA-PBE)
Neutral-atom scattering factors, no anomalous dispersion.

Structural model:
Lattice parameters (Å, degrees): 6.2774 6.2774 5.1573 90.01 90.01 120.25
Positions (direct):
K (0.0000, 0.0000, 0.0000)
Ti (0.6673, 0.3327, 0.0000)
In (0.3325, 0.6675, 0.5000)
F (0.4171, 0.0803, 0.7919)
F (0.4187, 0.3343, 0.2082)
F (0.6654, 0.0817, 0.2086)
F (0.6657, 0.5813, 0.7918)
F (0.9183, 0.3346, 0.7914)
F (0.9197, 0.5829, 0.2081)

Largest 12 diffraction maxima, by angle, 5 to 70 degrees two-theta:
2θ = 16.32°, intensity 18; 2θ = 23.80°, intensity 100; 2θ = 28.44°, intensity 21; 2θ = 28.55°, intensity 10; 2θ = 33.45°, intensity 11; 2θ = 37.36°, intensity 9; 2θ = 37.48°, intensity 17; 2θ = 38.66°, intensity 8; 2θ = 45.55°, intensity 34; 2θ = 47.64°, intensity 20; 2θ = 47.80°, intensity 10; 2θ = 50.49°, intensity 8